Sm6C2NO2: calculated powder X-ray diffraction pattern (copper Kα), based on a crystal structure in Alexandria, relaxed with PBE.
Intensities are scaled so that the largest is 100.

Largest 10 diffraction maxima, by angle, 10 to 90 degrees two-theta:
- (2 0 0), 30.1°, intensity 51
- (1 3 -1), 30.1°, intensity 100
- (0 0 2), 30.3°, intensity 49
- (2 0 -2), 34.8°, intensity 46
- (1 3 1), 35.1°, intensity 92
- (3 3 -1), 50.1°, intensity 32
- (0 6 0), 50.4°, intensity 47
- (2 0 2), 50.6°, intensity 16
- (3 3 1), 59.8°, intensity 36
- (4 0 0), 62.6°, intensity 23

Unit cell a=6.318 b=10.873 c=6.269 alpha=90.00 beta=110.00 gamma=90.00
Space group C2/m (No. 12)
One atom of each set of equivalent atoms:
Sm  0.237  0.000  0.268
Sm  0.241  0.173  0.744
C  0.000  0.331  0.500
N  0.000  0.000  0.500
O  0.000  0.168  0.000